1.
Simulated PXRD pattern of KGa4Au5 for Cu Kα X-rays, from a cell relaxed with PBE.
Peak positions follow from Bragg's law for the DFT cell and can differ from measured ones.

```
KGa4Au5
1.0
7.1984 0.0000 0.0000
0.0000 7.7531 0.0000
0.0000 0.0000 8.1057
K Ga Au
2 8 10
Direct
0.2500 0.2500 0.0266
0.7500 0.7500 0.9734
0.0638 0.2500 0.4335
0.2500 0.5829 0.7626
0.2500 0.9171 0.7626
0.4362 0.2500 0.4335
0.5638 0.7500 0.5665
0.7500 0.0829 0.2374
0.7500 0.4171 0.2374
0.9362 0.7500 0.5665
0.0537 0.5662 0.3032
0.0537 0.9338 0.3032
0.2500 0.7500 0.0423
0.4463 0.5662 0.3032
0.4463 0.9338 0.3032
0.5537 0.0662 0.6968
0.5537 0.4338 0.6968
0.7500 0.2500 0.9577
0.9463 0.0662 0.6968
0.9463 0.4338 0.6968
```

The 10 most intense peaks (2θ from 10° to 90°), by intensity:
2θ 31.95, rel. 100
2θ 44.59, rel. 78
2θ 27.11, rel. 69
2θ 39.15, rel. 55
2θ 16.81, rel. 54
2θ 43.43, rel. 50
2θ 33.16, rel. 41
2θ 21.93, rel. 41
2θ 36.49, rel. 37
2θ 41.44, rel. 36


2.
Simulated PXRD pattern of K3Ga2Au3 for Cu Kα X-rays, from a cell relaxed with PBE.
Peak positions follow from Bragg's law for the DFT cell and can differ from measured ones.

```
K3Ga2Au3
1.0
1.9999 -6.2545 0.0000
1.9999 6.2545 0.0000
0.0000 0.0000 19.1952
K Ga Au
6 4 6
Direct
0.0560 0.9440 0.7500
0.1266 0.8734 0.5477
0.1266 0.8734 0.9523
0.8734 0.1266 0.0477
0.8734 0.1266 0.4523
0.9440 0.0560 0.2500
0.1980 0.8020 0.1582
0.1980 0.8020 0.3418
0.8020 0.1980 0.6582
0.8020 0.1980 0.8418
0.3243 0.6757 0.7500
0.4070 0.5930 0.6028
0.4070 0.5930 0.8972
0.5930 0.4070 0.1028
0.5930 0.4070 0.3972
0.6757 0.3243 0.2500
```

The 10 most intense peaks (2θ from 10° to 90°), by intensity:
2θ 14.90, rel. 100
2θ 34.07, rel. 31
2θ 46.83, rel. 26
2θ 33.13, rel. 25
2θ 31.34, rel. 25
2θ 31.85, rel. 24
2θ 40.53, rel. 22
2θ 23.81, rel. 21
2θ 23.35, rel. 21
2θ 35.75, rel. 20


3.
Simulated PXRD pattern of K2Ga5Au4 for Cu Kα X-rays, from a cell relaxed with PBE.
Peak positions follow from Bragg's law for the DFT cell and can differ from measured ones.

```
K2Ga5Au4
1.0
5.0267 -3.6695 0.0000
5.0267 3.6695 0.0000
-4.3897 0.0000 7.5634
K Ga Au
2 5 4
Direct
0.0354 0.0354 0.3035
0.9646 0.9646 0.6965
0.1477 0.5496 0.9226
0.4504 0.8523 0.0774
0.5000 0.5000 0.5000
0.5496 0.1477 0.9226
0.8523 0.4504 0.0774
0.3086 0.3086 0.1575
0.3612 0.3612 0.6861
0.6388 0.6388 0.3139
0.6914 0.6914 0.8425
```

The 10 most intense peaks (2θ from 10° to 90°), by intensity:
2θ 15.80, rel. 100
2θ 23.74, rel. 62
2θ 33.23, rel. 53
2θ 24.25, rel. 49
2θ 43.77, rel. 42
2θ 46.12, rel. 37
2θ 42.37, rel. 36
2θ 41.43, rel. 35
2θ 30.44, rel. 31
2θ 34.04, rel. 26


4.
Simulated PXRD pattern of KGa4Au6 for Cu Kα X-rays, from a cell relaxed with PBE.
Peak positions follow from Bragg's law for the DFT cell and can differ from measured ones.

```
KGa4Au6
1.0
6.8084 0.0000 0.0000
-0.3346 6.8036 0.0000
-3.1122 -3.2600 5.1945
K Ga Au
1 4 6
Direct
0.0000 0.0000 0.0000
0.1057 0.4962 0.9409
0.4640 0.4658 0.5845
0.4975 0.1082 0.9445
0.8535 0.8531 0.3888
0.0030 0.5290 0.5040
0.1984 0.1978 0.6209
0.4506 0.7664 0.9869
0.5158 0.5175 0.2737
0.5305 0.0043 0.5051
0.7654 0.4509 0.9863
```

The 10 most intense peaks (2θ from 10° to 90°), by intensity:
2θ 39.20, rel. 100
2θ 40.50, rel. 66
2θ 15.76, rel. 63
2θ 15.39, rel. 54
2θ 26.21, rel. 47
2θ 31.06, rel. 38
2θ 46.84, rel. 33
2θ 34.53, rel. 29
2θ 42.67, rel. 29
2θ 18.91, rel. 28


5.
Simulated PXRD pattern of K3Ga5Au3 for Cu Kα X-rays, from a cell relaxed with PBE.
Peak positions follow from Bragg's law for the DFT cell and can differ from measured ones.

```
K3Ga5Au3
1.0
6.7235 0.0000 0.0000
-3.3138 7.0402 0.0000
-1.7039 -3.4722 6.7822
K Ga Au
3 5 3
Direct
0.0000 0.0000 0.0000
0.3244 0.3266 0.6490
0.6678 0.6358 0.3237
0.2417 0.8172 0.6337
0.3657 0.7905 0.9947
0.6925 0.1219 0.6536
0.7238 0.1791 0.3251
0.9359 0.5075 0.0160
0.3054 0.8408 0.3243
0.5948 0.1539 0.9733
0.9450 0.5059 0.6762
```

The 10 most intense peaks (2θ from 10° to 90°), by intensity:
2θ 14.64, rel. 100
2θ 29.52, rel. 24
2θ 33.21, rel. 22
2θ 39.88, rel. 17
2θ 39.83, rel. 16
2θ 40.07, rel. 15
2θ 24.53, rel. 14
2θ 42.70, rel. 14
2θ 23.04, rel. 11
2θ 23.31, rel. 10


6.
Simulated PXRD pattern of K4GaAu4 for Cu Kα X-rays, from a cell relaxed with PBE.
Peak positions follow from Bragg's law for the DFT cell and can differ from measured ones.

```
K4GaAu4
1.0
-3.4489 3.4489 6.8671
3.4489 -3.4489 6.8671
3.4489 3.4489 -6.8671
K Ga Au
4 1 4
Direct
0.1461 0.1461 0.5724
0.4263 0.8539 0.0000
0.5737 0.5737 0.4276
0.8539 0.4263 0.0000
0.0000 0.0000 0.0000
0.1080 0.6734 0.0000
0.3266 0.3266 0.4346
0.6734 0.1080 0.0000
0.8920 0.8920 0.5654
```

The 10 most intense peaks (2θ from 10° to 90°), by intensity:
2θ 22.36, rel. 100
2θ 36.91, rel. 94
2θ 25.83, rel. 66
2θ 25.95, rel. 34
2θ 43.53, rel. 27
2θ 14.37, rel. 24
2θ 35.08, rel. 21
2θ 45.63, rel. 20
2θ 29.68, rel. 18
2θ 58.78, rel. 18


7.
Simulated PXRD pattern of K3Ga7Au4 for Cu Kα X-rays, from a cell relaxed with PBE.
Peak positions follow from Bragg's law for the DFT cell and can differ from measured ones.

```
K3Ga7Au4
1.0
8.3040 -2.3482 0.0000
8.3040 2.3482 0.0000
-5.2061 0.0000 7.9989
K Ga Au
3 7 4
Direct
0.0000 0.0000 0.0000
0.2964 0.2964 0.2970
0.7036 0.7036 0.7030
0.0000 0.0000 0.5000
0.1457 0.1457 0.4307
0.3277 0.3277 0.9774
0.4967 0.4967 0.3099
0.5033 0.5033 0.6901
0.6723 0.6723 0.0226
0.8543 0.8543 0.5693
0.1313 0.1313 0.8493
0.3446 0.3446 0.7016
0.6554 0.6554 0.2984
0.8687 0.8687 0.1507
```

The 10 most intense peaks (2θ from 10° to 90°), by intensity:
2θ 38.33, rel. 100
2θ 24.53, rel. 89
2θ 18.61, rel. 83
2θ 34.05, rel. 71
2θ 42.79, rel. 55
2θ 21.08, rel. 54
2θ 32.61, rel. 53
2θ 42.45, rel. 51
2θ 38.82, rel. 45
2θ 25.60, rel. 44


8.
Simulated PXRD pattern of K3Ga3Au8 for Cu Kα X-rays, from a cell relaxed with PBE.
Peak positions follow from Bragg's law for the DFT cell and can differ from measured ones.

```
K3Ga3Au8
1.0
8.8768 -2.1146 0.0000
8.8768 2.1146 0.0000
-4.2323 0.0000 8.9178
K Ga Au
3 3 8
Direct
0.0000 0.0000 0.0000
0.2986 0.2986 0.3663
0.7014 0.7014 0.6337
0.0000 0.0000 0.5000
0.3078 0.3078 0.9800
0.6922 0.6922 0.0200
0.0920 0.0920 0.3539
0.1398 0.1398 0.8497
0.3581 0.3581 0.7739
0.4729 0.4729 0.3082
0.5271 0.5271 0.6918
0.6419 0.6419 0.2261
0.8602 0.8602 0.1503
0.9080 0.9080 0.6461
```

The 10 most intense peaks (2θ from 10° to 90°), by intensity:
2θ 31.25, rel. 100
2θ 33.00, rel. 90
2θ 37.82, rel. 88
2θ 42.41, rel. 61
2θ 42.76, rel. 57
2θ 18.15, rel. 54
2θ 19.93, rel. 51
2θ 17.76, rel. 48
2θ 28.71, rel. 40
2θ 11.03, rel. 37


Please write out number 8 again, unchanged.
Simulated PXRD pattern of K3Ga3Au8 for Cu Kα X-rays, from a cell relaxed with PBE.
Peak positions follow from Bragg's law for the DFT cell and can differ from measured ones.

```
K3Ga3Au8
1.0
8.8768 -2.1146 0.0000
8.8768 2.1146 0.0000
-4.2323 0.0000 8.9178
K Ga Au
3 3 8
Direct
0.0000 0.0000 0.0000
0.2986 0.2986 0.3663
0.7014 0.7014 0.6337
0.0000 0.0000 0.5000
0.3078 0.3078 0.9800
0.6922 0.6922 0.0200
0.0920 0.0920 0.3539
0.1398 0.1398 0.8497
0.3581 0.3581 0.7739
0.4729 0.4729 0.3082
0.5271 0.5271 0.6918
0.6419 0.6419 0.2261
0.8602 0.8602 0.1503
0.9080 0.9080 0.6461
```

The 10 most intense peaks (2θ from 10° to 90°), by intensity:
2θ 31.25, rel. 100
2θ 33.00, rel. 90
2θ 37.82, rel. 88
2θ 42.41, rel. 61
2θ 42.76, rel. 57
2θ 18.15, rel. 54
2θ 19.93, rel. 51
2θ 17.76, rel. 48
2θ 28.71, rel. 40
2θ 11.03, rel. 37